# 1
Diffraction record for LaZr. The powder X-ray diffraction pattern is simulated, not measured: it uses a cell relaxed with GGA-PBE and Cu Kα (λ = 1.5418 Å).
Lines closer than 0.1° are merged.

Principal peaks in the range 2θ = 10–90°, low angle first:
30.4 deg, intensity 28
31.8 deg, intensity 44
33.9 deg, intensity 58
34.4 deg, intensity 100
44.5 deg, intensity 20
53.3 deg, intensity 18
58.0 deg, intensity 12
58.3 deg, intensity 22
63.4 deg, intensity 21
65.5 deg, intensity 17

Structure:
Cell: 5.6289 9.1426 9.1426 Å, 21.32 90.00 90.00°
Fractional coordinates of all 6 atoms:
La 0.0000 0.0000 0.0000
La 0.0000 0.3323 0.3323
La 0.5000 0.7663 0.7663
Zr 0.0000 0.6601 0.6601
Zr 0.5000 0.1016 0.1016
Zr 0.5000 0.4485 0.4485



# 2
Diffraction record for Cs2Zn2AgH6. The powder X-ray diffraction pattern is simulated, not measured: it uses a cell relaxed with GGA-PBE and Cu Kα (λ = 1.5418 Å).
Lines closer than 0.1° are merged.

Principal peaks in the range 2θ = 10–90°, low angle first:
25.2 deg, intensity 49
26.2 deg, intensity 38
28.6 deg, intensity 100
31.7 deg, intensity 42
32.1 deg, intensity 52
41.6 deg, intensity 22
45.5 deg, intensity 20
49.2 deg, intensity 23
54.6 deg, intensity 17
56.5 deg, intensity 21

Structure:
Cell: 6.4307 6.4307 6.4443 Å, 109.66 109.66 52.01°
Fractional coordinates of all 11 atoms:
Cs 0.2113 0.2113 0.1714
Cs 0.7887 0.7887 0.8286
Zn 0.4570 0.4570 0.7787
Zn 0.5430 0.5430 0.2213
Ag 0.0000 0.0000 0.5000
H 0.2200 0.7410 0.2661
H 0.2590 0.7800 0.7339
H 0.3034 0.3034 0.6746
H 0.6966 0.6966 0.3254
H 0.7410 0.2200 0.2661
H 0.7800 0.2590 0.7339



- Number 1 is which compound?
  LaZr



Copy entry 2 word for word.
Diffraction record for Cs2Zn2AgH6. The powder X-ray diffraction pattern is simulated, not measured: it uses a cell relaxed with GGA-PBE and Cu Kα (λ = 1.5418 Å).
Lines closer than 0.1° are merged.

Principal peaks in the range 2θ = 10–90°, low angle first:
25.2 deg, intensity 49
26.2 deg, intensity 38
28.6 deg, intensity 100
31.7 deg, intensity 42
32.1 deg, intensity 52
41.6 deg, intensity 22
45.5 deg, intensity 20
49.2 deg, intensity 23
54.6 deg, intensity 17
56.5 deg, intensity 21

Structure:
Cell: 6.4307 6.4307 6.4443 Å, 109.66 109.66 52.01°
Fractional coordinates of all 11 atoms:
Cs 0.2113 0.2113 0.1714
Cs 0.7887 0.7887 0.8286
Zn 0.4570 0.4570 0.7787
Zn 0.5430 0.5430 0.2213
Ag 0.0000 0.0000 0.5000
H 0.2200 0.7410 0.2661
H 0.2590 0.7800 0.7339
H 0.3034 0.3034 0.6746
H 0.6966 0.6966 0.3254
H 0.7410 0.2200 0.2661
H 0.7800 0.2590 0.7339